Record 1
Computed X-ray diffraction stick pattern
Compound: Pd12Se
Radiation: Cu Kα X-rays
Structure: a GGA-PBE-relaxed structure
Peak positions follow from Bragg's law for the DFT cell and can differ from measured ones.

The 8 most intense peaks (15° ≤ 2θ ≤ 90°), by intensity:
2θ (°), d_spacing, I (rel.)
38.15, 2.359, 100
45.50, 1.993, 68
74.12, 1.279, 33
41.96, 2.153, 31
79.16, 1.210, 28
34.00, 2.637, 17
89.01, 1.100, 12
76.65, 1.243, 12

Cell and atoms:
```
Pd12Se
1.0
-3.7294 3.7294 3.7294
3.7294 -3.7294 3.7294
3.7294 3.7294 -3.7294
Pd Se
12 1
Direct
0.1300 0.3130 0.8171
0.1829 0.4959 0.3130
0.1829 0.8700 0.6870
0.3130 0.1829 0.4959
0.3130 0.8171 0.1300
0.4959 0.3130 0.1829
0.5041 0.6870 0.8171
0.6870 0.1829 0.8700
0.6870 0.8171 0.5041
0.8171 0.1300 0.3130
0.8171 0.5041 0.6870
0.8700 0.6870 0.1829
0.0000 0.0000 0.0000
```

=====

Record 2
Computed X-ray diffraction stick pattern
Compound: Na2Zn3S4
Radiation: Cu Kα X-rays
Structure: a GGA-PBE-relaxed structure
Peak positions follow from Bragg's law for the DFT cell and can differ from measured ones.

The 8 most intense peaks (15° ≤ 2θ ≤ 90°), by intensity:
2θ (°), d_spacing, I (rel.)
31.30, 2.858, 100
33.21, 2.697, 91
33.91, 2.644, 81
41.28, 2.187, 68
47.69, 1.907, 58
41.85, 2.158, 55
52.43, 1.745, 43
30.87, 2.896, 40

Cell and atoms:
```
Na2Zn3S4
1.0
-2.9671 4.9776 6.4738
2.9671 -4.9776 6.4738
2.9671 4.9776 -6.4738
Na Zn S
4 6 8
Direct
0.1254 0.2344 0.3598
0.3746 0.7344 0.1091
0.6254 0.2656 0.8909
0.8746 0.7656 0.6402
0.0373 0.7500 0.2873
0.2500 0.2500 0.0000
0.4627 0.7500 0.7127
0.5373 0.2500 0.2873
0.7500 0.7500 0.0000
0.9627 0.2500 0.7127
0.0074 0.3651 0.0934
0.2282 0.1349 0.6423
0.2718 0.9140 0.9066
0.4926 0.5860 0.3577
0.5074 0.4140 0.6423
0.7282 0.0860 0.0934
0.7718 0.8651 0.3577
0.9926 0.6349 0.9066
```

=====

Record 3
Computed X-ray diffraction stick pattern
Compound: AcPm12Ge6
Radiation: Cu Kα X-rays
Structure: a GGA-PBE-relaxed structure
Peak positions follow from Bragg's law for the DFT cell and can differ from measured ones.

The 8 most intense peaks (15° ≤ 2θ ≤ 90°), by intensity:
2θ (°), d_spacing, I (rel.)
28.45, 3.137, 100
27.51, 3.243, 52
33.30, 2.690, 48
41.62, 2.170, 37
35.87, 2.504, 26
34.47, 2.602, 26
31.78, 2.816, 23
49.75, 1.833, 20

Cell and atoms:
```
AcPm12Ge6
1.0
6.8093 3.9314 3.6879
-6.8093 3.9314 3.6879
0.0000 -7.8628 3.6879
Ac Pm Ge
1 12 6
Direct
0.0000 0.0000 0.0000
0.1235 0.5000 0.8765
0.1235 0.8765 0.5000
0.1778 0.4456 0.4456
0.4456 0.1778 0.4456
0.4456 0.4456 0.1778
0.5000 0.1235 0.8765
0.5000 0.8765 0.1235
0.5544 0.5544 0.8222
0.5544 0.8222 0.5544
0.8222 0.5544 0.5544
0.8765 0.1235 0.5000
0.8765 0.5000 0.1235
0.2464 0.2464 0.6980
0.2464 0.6980 0.2464
0.3020 0.7536 0.7536
0.6980 0.2464 0.2464
0.7536 0.3020 0.7536
0.7536 0.7536 0.3020
```

=====

Record 4
Computed X-ray diffraction stick pattern
Compound: Hf4VTc5
Radiation: Cu Kα X-rays
Structure: a GGA-PBE-relaxed structure
Peak positions follow from Bragg's law for the DFT cell and can differ from measured ones.

The 8 most intense peaks (15° ≤ 2θ ≤ 90°), by intensity:
2θ (°), d_spacing, I (rel.)
39.55, 2.279, 100
39.66, 2.272, 51
71.90, 1.313, 34
57.34, 1.607, 17
71.67, 1.317, 15
85.16, 1.139, 10
56.99, 1.616, 8
85.46, 1.136, 6

Cell and atoms:
```
Hf4VTc5
1.0
3.2136 0.0000 0.0000
0.0000 3.2136 0.0000
0.0000 0.0000 16.1579
Hf V Tc
4 1 5
Direct
0.0000 0.0000 0.1024
0.0000 0.0000 0.3058
0.0000 0.0000 0.6942
0.0000 0.0000 0.8976
0.0000 0.0000 0.5000
0.5000 0.5000 0.0000
0.5000 0.5000 0.2050
0.5000 0.5000 0.4107
0.5000 0.5000 0.5893
0.5000 0.5000 0.7950
```

=====

Record 5
Computed X-ray diffraction stick pattern
Compound: AgPb4
Radiation: Cu Kα X-rays
Structure: a GGA-PBE-relaxed structure
Peak positions follow from Bragg's law for the DFT cell and can differ from measured ones.

The 8 most intense peaks (15° ≤ 2θ ≤ 90°), by intensity:
2θ (°), d_spacing, I (rel.)
34.22, 2.620, 100
30.89, 2.895, 67
57.10, 1.613, 38
44.25, 2.047, 20
63.30, 1.469, 18
72.09, 1.310, 10
48.96, 1.861, 9
27.56, 3.236, 8

Cell and atoms:
```
AgPb4
1.0
-4.5768 4.5768 1.7052
4.5768 -4.5768 1.7052
4.5768 4.5768 -1.7052
Ag Pb
1 4
Direct
0.0000 0.0000 0.0000
0.2241 0.5826 0.8067
0.4174 0.2241 0.6415
0.5826 0.7759 0.3584
0.7759 0.4174 0.1933
```

=====

> What is the formula in the fourth record?

Hf4VTc5